(1)
For Th3Zn4Pd2, a structure optimized by DFT (PBE) gives the computed XRD peak list in this record (CuKα).
Neutral-atom scattering factors, no anomalous dispersion.

Structure:
a b c (Å): 10.7514 4.5571 8.6636
angles (deg): 90.00 115.46 90.00
Space group C2/m (No. 12)
Inequivalent atoms, fractional coordinates:
Th1 0.0000 0.0000 0.0000 x2
Th2 0.1764 0.5000 0.6522 x4
Zn1 0.0260 0.0000 0.3659 x4
Zn2 0.2359 0.5000 0.0658 x4
Pd1 0.1046 0.5000 0.2707 x4

Most intense lines, 10 to 90 degrees two-theta, low angle first:
Position (°2θ)	d (Å)	I/Imax	index
22.45	3.959	39	1 1 -1
33.64	2.664	35	4 0 -1
33.98	2.638	70	3 1 0
34.37	2.609	100	1 1 2
39.15	2.301	73	3 1 -3
39.55	2.279	39	0 2 0

***

(2)
For BC5, a structure optimized by DFT (PBE) gives the computed XRD peak list in this record (CuKα).
Neutral-atom scattering factors, no anomalous dispersion.

Structure:
a b c (Å): 2.5502 2.5502 12.8145
angles (deg): 90.00 90.00 120.00
Space group P3m1 (No. 156)
Inequivalent atoms, fractional coordinates:
B1 0.0000 0.0000 0.0000 x1
B2 0.3333 0.6667 0.6609 x1
C1 0.0000 0.0000 0.3733 x1
C2 0.0000 0.0000 0.4956 x1
C3 0.0000 0.0000 0.8742 x1
C4 0.3333 0.6667 0.0541 x1
C5 0.3333 0.6667 0.1716 x1
C6 0.3333 0.6667 0.5344 x1
C7 0.6667 0.3333 0.2128 x1
C8 0.6667 0.3333 0.3340 x1
C9 0.6667 0.3333 0.7149 x1
C10 0.6667 0.3333 0.8326 x1

Most intense lines, 10 to 90 degrees two-theta, low angle first:
Position (°2θ)	d (Å)	I/Imax	index
42.32	2.136	30	0 0 6
43.34	2.088	100	0 1 2
72.96	1.297	25	0 1 8
74.40	1.275	25	1 1 0
88.14	1.108	9	1 0 10
89.52	1.095	14	1 1 6

***

(3)
For Ge3N4, a structure optimized by DFT (PBE) gives the computed XRD peak list in this record (CuKα).
Neutral-atom scattering factors, no anomalous dispersion.

Structure:
a b c (Å): 8.1186 8.1186 3.1094
angles (deg): 90.00 90.00 120.00
Space group P6_3/m (No. 176)
Inequivalent atoms, fractional coordinates:
Ge1 0.1711 0.7648 0.2500 x6
N1 0.0277 0.6972 0.7500 x6
N2 0.3333 0.6667 0.2500 x2

Most intense lines, 10 to 90 degrees two-theta, low angle first:
Position (°2θ)	d (Å)	I/Imax	index
25.34	3.515	57	2 0 0
31.46	2.844	77	1 0 1
33.73	2.657	100	2 1 0
38.66	2.329	61	2 0 1
48.65	1.872	45	3 0 1
65.15	1.432	38	2 3 1

***

(4)
For Pr2Si2Pd5, a structure optimized by DFT (PBE) gives the computed XRD peak list in this record (CuKα).
Neutral-atom scattering factors, no anomalous dispersion.

Structure:
a b c (Å): 4.2813 4.2813 9.0657
angles (deg): 90.00 90.00 90.00
Space group P4/mmm (No. 123)
Inequivalent atoms, fractional coordinates:
Pr1 0.0000 0.0000 0.0000 x1
Pr2 0.0000 0.0000 0.5000 x1
Si1 0.5000 0.5000 0.1338 x2
Pd1 0.0000 0.5000 0.2663 x4
Pd2 0.5000 0.5000 0.5000 x1

Most intense lines, 10 to 90 degrees two-theta, low angle first:
Position (°2θ)	d (Å)	I/Imax	index
35.66	2.518	100	1 1 2
39.77	2.266	15	0 0 4
42.22	2.140	45	2 0 0
59.39	1.556	19	2 0 4
69.53	1.352	12	1 1 6
72.92	1.297	24	3 1 2

***

(5)
For GaReH5, a structure optimized by DFT (PBE) gives the computed XRD peak list in this record (CuKα).
Neutral-atom scattering factors, no anomalous dispersion.

Structure:
a b c (Å): 5.5065 5.5065 3.6999
angles (deg): 90.00 90.00 90.00
Space group I-4m2 (No. 119)
Inequivalent atoms, fractional coordinates:
Ga1 0.0000 0.0000 0.0000 x2
Re1 0.0000 0.5000 0.7500 x2
H1 0.0000 0.2037 0.6182 x8
H2 0.0000 0.5000 0.2500 x2

Most intense lines, 10 to 90 degrees two-theta, low angle first:
Position (°2θ)	d (Å)	I/Imax	index
22.84	3.894	28	1 1 0
29.08	3.071	100	1 0 1
32.52	2.753	65	2 0 0
44.18	2.050	64	2 1 1
54.95	1.671	29	1 1 2
74.89	1.268	23	3 1 2

***

(6)
For In2RuS, a structure optimized by DFT (PBE) gives the computed XRD peak list in this record (CuKα).
Neutral-atom scattering factors, no anomalous dispersion.

Structure:
a b c (Å): 6.2498 6.2498 11.4917
angles (deg): 90.00 90.00 90.00
Space group I-42d (No. 122)
Inequivalent atoms, fractional coordinates:
In1 0.2440 0.2500 0.1250 x8
Ru1 0.0000 0.0000 0.0000 x4
S1 0.0000 0.0000 0.5000 x4

Most intense lines, 10 to 90 degrees two-theta, low angle first:
Position (°2θ)	d (Å)	I/Imax	index
25.43	3.503	100	1 1 2
40.84	2.210	26	2 2 0
42.76	2.115	45	2 0 4
48.72	1.869	33	3 1 2
52.04	1.757	13	1 1 6
75.68	1.257	16	4 2 4

***

(7)
For GdFeIr, a structure optimized by DFT (PBE) gives the computed XRD peak list in this record (CuKα).
Neutral-atom scattering factors, no anomalous dispersion.

Structure:
a b c (Å): 4.0957 4.0957 4.1034
angles (deg): 90.00 90.00 120.00
Space group P-6m2 (No. 187)
Inequivalent atoms, fractional coordinates:
Gd1 0.0000 0.0000 0.0000 x1
Fe1 0.3333 0.6667 0.5000 x1
Ir1 0.6667 0.3333 0.5000 x1

Most intense lines, 10 to 90 degrees two-theta, low angle first:
Position (°2θ)	d (Å)	I/Imax	index
25.11	3.547	15	1 0 0
33.39	2.683	100	1 0 1
44.21	2.049	55	1 1 0
56.53	1.628	22	2 0 1
64.27	1.449	27	1 1 2
74.45	1.274	20	2 1 1

***

(8)
For Np2W, a structure optimized by DFT (PBE) gives the computed XRD peak list in this record (CuKα).
Neutral-atom scattering factors, no anomalous dispersion.

Structure:
a b c (Å): 3.2871 3.2871 9.8805
angles (deg): 90.00 90.00 90.00
Space group I4/mmm (No. 139)
Inequivalent atoms, fractional coordinates:
Np1 0.0000 0.0000 0.1887 x4
W1 0.0000 0.0000 0.5000 x2

Most intense lines, 10 to 90 degrees two-theta, low angle first:
Position (°2θ)	d (Å)	I/Imax	index
17.96	4.940	6	0 0 2
38.72	2.326	100	1 1 0
54.17	1.693	7	1 0 5
55.95	1.644	13	2 0 0
70.08	1.343	31	2 1 3
83.06	1.163	9	2 2 0

***

(9)
For NaTaF3, a structure optimized by DFT (PBE) gives the computed XRD peak list in this record (CuKα).
Neutral-atom scattering factors, no anomalous dispersion.

Structure:
a b c (Å): 4.3311 4.3311 4.3311
angles (deg): 90.00 90.00 90.00
Space group Pm-3m (No. 221)
Inequivalent atoms, fractional coordinates:
Na1 0.0000 0.0000 0.0000 x1
Ta1 0.5000 0.5000 0.5000 x1
F1 0.0000 0.5000 0.5000 x3

Most intense lines, 10 to 90 degrees two-theta, low angle first:
Position (°2θ)	d (Å)	I/Imax	index
20.51	4.331	100	1 0 0
29.16	3.063	93	1 1 0
41.71	2.166	36	2 0 0
46.91	1.937	46	2 1 0
51.70	1.768	39	2 1 1
60.46	1.531	22	2 2 0

***

(10)
For MgSc3C, a structure optimized by DFT (PBE) gives the computed XRD peak list in this record (CuKα).
Neutral-atom scattering factors, no anomalous dispersion.

Structure:
a b c (Å): 3.5161 6.0823 9.1355
angles (deg): 90.00 90.00 90.00
Space group Pmmn (No. 59, origin choice 2)
Inequivalent atoms, fractional coordinates:
Mg1 0.2500 0.2500 0.1216 x2
Sc1 0.2500 0.0003 0.6295 x4
Sc2 0.2500 0.7500 0.1568 x2
C1 0.2500 0.7500 0.4075 x2

Most intense lines, 10 to 90 degrees two-theta, low angle first:
Position (°2θ)	d (Å)	I/Imax	index
30.99	2.885	47	0 2 1
32.13	2.786	100	1 0 2
39.46	2.284	30	0 0 4
40.44	2.231	75	1 2 1
41.99	2.152	37	0 2 3
49.67	1.835	22	1 2 3

***

(11)
For Eu5Sb3, a structure optimized by DFT (PBE) gives the computed XRD peak list in this record (CuKα).
Neutral-atom scattering factors, no anomalous dispersion.

Structure:
a b c (Å): 9.4187 9.4187 7.0079
angles (deg): 90.00 90.00 120.00
Space group P6_3/mcm (No. 193)
Inequivalent atoms, fractional coordinates:
Eu1 0.0000 0.2594 0.2500 x6
Eu2 0.3333 0.6667 0.0000 x4
Sb1 0.0000 0.3857 0.7500 x6

Most intense lines, 10 to 90 degrees two-theta, low angle first:
Position (°2θ)	d (Å)	I/Imax	index
28.96	3.083	27	2 1 0
31.71	2.822	89	2 1 1
31.83	2.811	100	1 1 2
32.94	2.719	65	3 0 0
46.46	1.954	25	2 2 2
48.92	1.862	26	2 1 3

***

(12)
For HoGaRu2C, a structure optimized by DFT (PBE) gives the computed XRD peak list in this record (CuKα).
Neutral-atom scattering factors, no anomalous dispersion.

Structure:
a b c (Å): 3.8847 11.1402 7.3303
angles (deg): 90.00 90.00 90.00
Space group Cmcm (No. 63)
Inequivalent atoms, fractional coordinates:
Ho1 0.0000 0.0446 0.2500 x4
Ga1 0.0000 0.2328 0.7500 x4
Ru1 0.0000 0.3375 0.0566 x8
C1 0.0000 0.5000 0.0000 x4

Most intense lines, 10 to 90 degrees two-theta, low angle first:
Position (°2θ)	d (Å)	I/Imax	index
33.38	2.684	66	1 3 0
34.45	2.603	43	0 4 1
34.60	2.593	100	1 1 2
35.62	2.521	54	1 3 1
40.31	2.238	27	0 2 3
46.77	1.942	33	2 0 0